Starting from a cell relaxed with PBE+U, the powder diffraction line list of V2Se2O13 was calculated for Cu Kα (λ = 1.5418 Å).

The 10 most intense peaks (2θ from 15° to 90°), by intensity:
19.0 deg, I 100; 25.9 deg, I 43; 30.5 deg, I 27; 16.1 deg, I 26; 26.0 deg, I 20; 25.4 deg, I 20; 18.3 deg, I 19; 34.5 deg, I 18; 29.5 deg, I 16; 32.4 deg, I 15

Structural model:
```
data_V2Se2O13
_symmetry_space_group_name_H-M 'C 1 2/c 1'
_symmetry_Int_Tables_number 15
_cell_length_a 20.6840
_cell_length_b 6.8674
_cell_length_c 10.9830
_cell_angle_alpha 90.00
_cell_angle_beta 121.84
_cell_angle_gamma 90.00
loop_
_symmetry_equiv_pos_as_xyz
'x,y,z'
'-x,-y,-z'
'-x,y,-z+1/2'
'x,-y,z+1/2'
'x+1/2,y+1/2,z'
'-x+1/2,-y+1/2,-z'
'-x+1/2,y+1/2,-z+1/2'
'x+1/2,-y+1/2,z+1/2'
loop_
_atom_site_label
_atom_site_fract_x
_atom_site_fract_y
_atom_site_fract_z
V1 0.1748 0.2179 0.2068
Se1 0.1640 0.2524 0.7862
O1 0.0000 0.1099 0.2500
O2 0.0033 0.2068 0.3531
O3 0.0757 0.2882 0.6395
O4 0.1385 0.1938 0.0351
O5 0.1437 0.4268 0.2487
O6 0.1585 0.0075 0.2908
O7 0.2220 0.2561 0.7087
```